Record 1
Theoretical X-ray diffraction stick pattern
Compound: Hf2Fe5Si4
Radiation: a wavelength of 1.5418 Å
Structure: a DFT-relaxed cell (GGA-PBE, Alexandria)
Intensities are scaled so that the largest is 100.

Atomic structure:
```
data_Hf2Fe5Si4
_chemical_formula_sum 'Hf8 Fe20 Si16'
_cell_length_a 5.1642
_cell_length_b 8.8035
_cell_length_c 13.2214
_cell_angle_alpha 90.00
_cell_angle_beta 90.00
_cell_angle_gamma 90.00
_space_group_name_H-M_alt 'F m m m'
_space_group_IT_number 69
_space_group_name_Hall '-F 2 2'
loop_
_atom_site_label
_atom_site_type_symbol
_atom_site_fract_x
_atom_site_fract_y
_atom_site_fract_z
_atom_site_occupancy
Hf1 Hf 0.0000 0.0000 0.1290 1
Fe1 Fe 0.0000 0.0000 0.5000 1
Fe2 Fe 0.2500 0.2500 0.0000 1
Fe3 Fe 0.2500 0.2500 0.2500 1
Si1 Si 0.0000 0.1466 0.3655 1
```

The 8 most intense peaks (2θ = 10–80°), sorted by position:
| h k l | 2θ (°) | Rel. int. |
| --- | --- | --- |
| 1 1 1 | 21.05 | 46 |
| 1 1 3 | 28.49 | 91 |
| 0 2 4 | 33.92 | 100 |
| 1 3 1 | 35.85 | 45 |
| 2 2 0 | 40.50 | 94 |
| 1 3 3 | 40.87 | 85 |
| 0 4 0 | 41.01 | 36 |
| 2 0 4 | 44.53 | 76 |

***

Record 2
Theoretical X-ray diffraction stick pattern
Compound: PmHgBrO
Radiation: a wavelength of 1.5418 Å
Structure: a DFT-relaxed cell (GGA-PBE, Alexandria)
Intensities are scaled so that the largest is 100.

Atomic structure:
```
data_PmHgBrO
_chemical_formula_sum 'Pm2 Hg2 Br2 O2'
_cell_length_a 4.0350
_cell_length_b 4.0350
_cell_length_c 13.8038
_cell_angle_alpha 90.00
_cell_angle_beta 90.00
_cell_angle_gamma 90.00
_space_group_name_H-M_alt 'P 4/n m m'
_space_group_IT_number 129
loop_
_space_group_symop_operation_xyz
'x,y,z'
'-x,-y,-z'
'-y+1/2,x,z'
'y+1/2,-x,-z'
'-x+1/2,-y+1/2,z'
'x+1/2,y+1/2,-z'
'y,-x+1/2,z'
'-y,x+1/2,-z'
'x+1/2,-y,-z'
'-x+1/2,y,z'
'-y,-x,-z'
'y,x,z'
'-x,y+1/2,-z'
'x,-y+1/2,z'
'y+1/2,x+1/2,-z'
'-y+1/2,-x+1/2,z'
loop_
_atom_site_label
_atom_site_type_symbol
_atom_site_fract_x
_atom_site_fract_y
_atom_site_fract_z
_atom_site_occupancy
Pm1 Pm 0.2500 0.2500 0.0843 1
Hg1 Hg 0.2500 0.7500 0.5000 1
Br1 Br 0.2500 0.2500 0.7958 1
O1 O 0.2500 0.7500 0.0000 1
```

The 8 most intense peaks (2θ = 10–80°), sorted by position:
| h k l | 2θ (°) | Rel. int. |
| --- | --- | --- |
| 0 0 2 | 12.83 | 92 |
| 0 0 3 | 19.29 | 47 |
| 1 0 3 | 29.44 | 45 |
| 1 1 1 | 32.03 | 100 |
| 1 1 2 | 34.00 | 35 |
| 1 0 4 | 34.19 | 30 |
| 1 1 4 | 41.05 | 31 |
| 2 0 0 | 44.93 | 35 |

***

Record 3
Theoretical X-ray diffraction stick pattern
Compound: CeURu5
Radiation: a wavelength of 1.5418 Å
Structure: a DFT-relaxed cell (GGA-PBE, Alexandria)
Intensities are scaled so that the largest is 100.

Atomic structure:
```
data_CeURu5
_chemical_formula_sum 'Ce1 U1 Ru5'
_cell_length_a 3.9951
_cell_length_b 3.9951
_cell_length_c 7.7072
_cell_angle_alpha 90.00
_cell_angle_beta 90.00
_cell_angle_gamma 90.00
_space_group_name_H-M_alt 'P 4/m m m'
_space_group_IT_number 123
_space_group_name_Hall '-P 4 2'
loop_
_atom_site_label
_atom_site_type_symbol
_atom_site_fract_x
_atom_site_fract_y
_atom_site_fract_z
_atom_site_occupancy
Ce1 Ce 0.0000 0.0000 0.0000 1
U1 U 0.5000 0.5000 0.5000 1
Ru1 Ru 0.0000 0.5000 0.2722 1
Ru2 Ru 0.5000 0.5000 0.0000 1
```

The 8 most intense peaks (2θ = 10–80°), sorted by position:
| h k l | 2θ (°) | Rel. int. |
| --- | --- | --- |
| 1 0 0 | 22.25 | 11 |
| 1 0 1 | 25.11 | 30 |
| 1 1 2 | 39.55 | 100 |
| 2 0 0 | 45.40 | 35 |
| 0 0 4 | 47.17 | 13 |
| 2 2 0 | 66.16 | 11 |
| 2 0 4 | 67.55 | 18 |
| 3 1 2 | 79.91 | 26 |

***

Record 4
Theoretical X-ray diffraction stick pattern
Compound: Tl3AsF6
Radiation: a wavelength of 1.5418 Å
Structure: a DFT-relaxed cell (GGA-PBE, Alexandria)
Intensities are scaled so that the largest is 100.

Atomic structure:
```
data_Tl3AsF6
_chemical_formula_sum 'Tl12 As4 F24'
_cell_length_a 8.0694
_cell_length_b 9.4107
_cell_length_c 11.2795
_cell_angle_alpha 90.00
_cell_angle_beta 90.00
_cell_angle_gamma 90.00
_space_group_name_H-M_alt 'F m m m'
_space_group_IT_number 69
_space_group_name_Hall '-F 2 2'
loop_
_atom_site_label
_atom_site_type_symbol
_atom_site_fract_x
_atom_site_fract_y
_atom_site_fract_z
_atom_site_occupancy
Tl1 Tl 0.0000 0.0000 0.0000 1
Tl2 Tl 0.2500 0.2500 0.2500 1
As1 As 0.0000 0.0000 0.5000 1
F1 F 0.0000 0.2201 0.5000 1
F2 F 0.1853 0.0000 0.3713 1
```

The 8 most intense peaks (2θ = 10–80°), sorted by position:
| h k l | 2θ (°) | Rel. int. |
| --- | --- | --- |
| 0 2 2 | 24.64 | 98 |
| 2 0 2 | 27.18 | 100 |
| 2 2 0 | 29.16 | 54 |
| 0 0 4 | 31.73 | 26 |
| 0 4 0 | 38.26 | 24 |
| 2 2 4 | 43.63 | 53 |
| 2 4 2 | 47.56 | 43 |
| 4 2 2 | 51.91 | 28 |

***

Record 5
Theoretical X-ray diffraction stick pattern
Compound: Sr5PdO8
Radiation: a wavelength of 1.5418 Å
Structure: a DFT-relaxed cell (GGA-PBE, Alexandria)
Intensities are scaled so that the largest is 100.

Atomic structure:
```
data_Sr5PdO8
_chemical_formula_sum 'Sr10 Pd2 O16'
_cell_length_a 7.3564
_cell_length_b 7.3564
_cell_length_c 8.1205
_cell_angle_alpha 90.00
_cell_angle_beta 90.00
_cell_angle_gamma 90.00
_space_group_name_H-M_alt 'I -4'
_space_group_IT_number 82
_space_group_name_Hall 'I -4'
loop_
_atom_site_label
_atom_site_type_symbol
_atom_site_fract_x
_atom_site_fract_y
_atom_site_fract_z
_atom_site_occupancy
Sr1 Sr 0.0000 0.0000 0.0000 1
Sr2 Sr 0.1343 0.2685 0.3898 1
Pd1 Pd 0.0000 0.5000 0.7500 1
O1 O 0.0475 0.2318 0.7215 1
O2 O 0.1028 0.3082 0.0884 1
```

The 8 most intense peaks (2θ = 10–80°), sorted by position:
| h k l | 2θ (°) | Rel. int. |
| --- | --- | --- |
| 1 1 2 | 27.87 | 62 |
| 2 1 1 | 29.29 | 100 |
| 1 0 3 | 35.33 | 46 |
| 3 0 1 | 38.34 | 38 |
| 1 3 0 | 38.71 | 30 |
| 1 3 2 | 44.91 | 23 |
| 2 0 4 | 51.41 | 21 |
| 3 2 3 | 56.48 | 26 |

***

Record 6
Theoretical X-ray diffraction stick pattern
Compound: Ce4Tm3Ga4
Radiation: a wavelength of 1.5418 Å
Structure: a DFT-relaxed cell (GGA-PBE, Alexandria)
Intensities are scaled so that the largest is 100.

Atomic structure:
```
data_Ce4Tm3Ga4
_chemical_formula_sum 'Ce8 Tm6 Ga8'
_cell_length_a 3.4173
_cell_length_b 8.7512
_cell_length_c 18.4844
_cell_angle_alpha 90.00
_cell_angle_beta 90.00
_cell_angle_gamma 90.00
_space_group_name_H-M_alt 'I m m m'
_space_group_IT_number 71
_space_group_name_Hall '-I 2 2'
loop_
_atom_site_label
_atom_site_type_symbol
_atom_site_fract_x
_atom_site_fract_y
_atom_site_fract_z
_atom_site_occupancy
Ce1 Ce 0.0000 0.1599 0.1646 1
Tm1 Tm 0.0000 0.0000 0.4077 1
Tm2 Tm 0.0000 0.5000 0.5000 1
Ga1 Ga 0.0000 0.2789 0.0000 1
Ga2 Ga 0.0000 0.5000 0.2186 1
```

The 8 most intense peaks (2θ = 10–80°), sorted by position:
| h k l | 2θ (°) | Rel. int. |
| --- | --- | --- |
| 0 1 5 | 26.17 | 47 |
| 1 0 3 | 29.90 | 54 |
| 1 2 1 | 33.63 | 100 |
| 0 3 3 | 34.00 | 92 |
| 1 1 4 | 34.20 | 99 |
| 0 1 7 | 35.51 | 41 |
| 1 0 5 | 35.78 | 42 |
| 1 3 6 | 50.71 | 56 |

***

Record 7
Theoretical X-ray diffraction stick pattern
Compound: Mg14FeBi
Radiation: a wavelength of 1.5418 Å
Structure: a DFT-relaxed cell (GGA-PBE, Alexandria)
Intensities are scaled so that the largest is 100.

Atomic structure:
```
data_Mg14FeBi
_chemical_formula_sum 'Mg28 Fe2 Bi2'
_cell_length_a 10.1883
_cell_length_b 6.3726
_cell_length_c 10.9762
_cell_angle_alpha 90.00
_cell_angle_beta 90.00
_cell_angle_gamma 90.00
_space_group_name_H-M_alt 'A m m 2'
_space_group_IT_number 38
_space_group_name_Hall 'A 2 -2'
loop_
_atom_site_label
_atom_site_type_symbol
_atom_site_fract_x
_atom_site_fract_y
_atom_site_fract_z
_atom_site_occupancy
Mg1 Mg 0.0000 0.0000 0.0000 1
Mg2 Mg 0.0000 0.0000 0.4985 1
Mg3 Mg 0.0000 0.2461 0.2479 1
Mg4 Mg 0.2437 0.0000 0.8283 1
Mg5 Mg 0.2581 0.2392 0.5811 1
Mg6 Mg 0.2616 0.0000 0.3370 1
Mg7 Mg 0.5000 0.2482 0.7489 1
Fe1 Fe 0.5000 0.0000 0.5054 1
Bi1 Bi 0.5000 0.0000 0.9940 1
```

The 8 most intense peaks (2θ = 10–80°), sorted by position:
| h k l | 2θ (°) | Rel. int. |
| --- | --- | --- |
| 0 0 2 | 16.12 | 52 |
| 1 0 2 | 18.33 | 81 |
| 2 0 2 | 23.81 | 47 |
| 0 2 2 | 32.49 | 32 |
| 4 0 0 | 35.24 | 37 |
| 2 2 2 | 37.09 | 100 |
| 2 0 4 | 37.22 | 50 |
| 6 0 4 | 64.48 | 28 |

***

Record 8
Theoretical X-ray diffraction stick pattern
Compound: NaHoBr3
Radiation: a wavelength of 1.5418 Å
Structure: a DFT-relaxed cell (GGA-PBE, Alexandria)
Intensities are scaled so that the largest is 100.

Atomic structure:
```
data_NaHoBr3
_chemical_formula_sum 'Na4 Ho4 Br12'
_cell_length_a 13.6219
_cell_length_b 7.8553
_cell_length_c 6.6590
_cell_angle_alpha 90.00
_cell_angle_beta 90.02
_cell_angle_gamma 90.00
_space_group_name_H-M_alt 'C 1 2/m 1'
_space_group_IT_number 12
_space_group_name_Hall '-C 2y'
loop_
_atom_site_label
_atom_site_type_symbol
_atom_site_fract_x
_atom_site_fract_y
_atom_site_fract_z
_atom_site_occupancy
Na1 Na 0.1669 0.0000 0.2497 1
Ho1 Ho 0.0000 0.5000 0.0000 1
Ho2 Ho 0.0000 0.5000 0.5000 1
Br1 Br 0.0849 0.2453 0.7500 1
Br2 Br 0.1697 0.5000 0.2501 1
```

The 8 most intense peaks (2θ = 10–80°), sorted by position:
| h k l | 2θ (°) | Rel. int. |
| --- | --- | --- |
| 2 0 0 | 13.01 | 100 |
| 4 0 1 | 29.47 | 47 |
| 1 1 2 | 29.87 | 16 |
| 1 3 0 | 34.87 | 22 |
| 3 1 2 | 35.33 | 25 |
| 4 0 2 | 37.80 | 39 |
| 6 2 0 | 46.20 | 23 |
| 4 0 3 | 48.99 | 11 |

***

Record 9
Theoretical X-ray diffraction stick pattern
Compound: Pr4PuSe4
Radiation: a wavelength of 1.5418 Å
Structure: a DFT-relaxed cell (GGA-PBE, Alexandria)
Intensities are scaled so that the largest is 100.

Atomic structure:
```
data_Pr4PuSe4
_chemical_formula_sum 'Pr8 Pu2 Se8'
_cell_length_a 9.3064
_cell_length_b 9.3064
_cell_length_c 5.9963
_cell_angle_alpha 90.00
_cell_angle_beta 90.00
_cell_angle_gamma 90.00
_space_group_name_H-M_alt 'I 4/m'
_space_group_IT_number 87
_space_group_name_Hall '-I 4'
loop_
_atom_site_label
_atom_site_type_symbol
_atom_site_fract_x
_atom_site_fract_y
_atom_site_fract_z
_atom_site_occupancy
Pr1 Pr 0.0965 0.7045 0.0000 1
Pu1 Pu 0.0000 0.0000 0.5000 1
Se1 Se 0.0945 0.7068 0.5000 1
```

The 8 most intense peaks (2θ = 10–80°), sorted by position:
| h k l | 2θ (°) | Rel. int. |
| --- | --- | --- |
| 1 2 1 | 26.06 | 61 |
| 0 0 2 | 29.80 | 53 |
| 3 1 0 | 30.37 | 100 |
| 3 1 2 | 43.07 | 77 |
| 2 4 0 | 43.49 | 37 |
| 5 0 1 | 51.40 | 19 |
| 2 4 2 | 53.61 | 40 |
| 5 5 2 | 79.54 | 25 |

***

Record 10
Theoretical X-ray diffraction stick pattern
Compound: Sm2TaSi4Ir3
Radiation: a wavelength of 1.5418 Å
Structure: a DFT-relaxed cell (GGA-PBE, Alexandria)
Intensities are scaled so that the largest is 100.

Atomic structure:
```
data_Sm2TaSi4Ir3
_chemical_formula_sum 'Sm2 Ta1 Si4 Ir3'
_cell_length_a 4.1312
_cell_length_b 4.1312
_cell_length_c 10.4531
_cell_angle_alpha 90.00
_cell_angle_beta 90.00
_cell_angle_gamma 90.00
_space_group_name_H-M_alt 'P -4 m 2'
_space_group_IT_number 115
_space_group_name_Hall 'P -4 -2'
loop_
_atom_site_label
_atom_site_type_symbol
_atom_site_fract_x
_atom_site_fract_y
_atom_site_fract_z
_atom_site_occupancy
Sm1 Sm 0.0000 0.5000 0.2394 1
Ta1 Ta 0.0000 0.0000 0.5000 1
Si1 Si 0.0000 0.0000 0.0000 1
Si2 Si 0.0000 0.5000 0.6481 1
Si3 Si 0.5000 0.5000 0.0000 1
Ir1 Ir 0.0000 0.5000 0.8792 1
Ir2 Ir 0.5000 0.5000 0.5000 1
```

The 8 most intense peaks (2θ = 10–80°), sorted by position:
| h k l | 2θ (°) | Rel. int. |
| --- | --- | --- |
| 0 0 3 | 25.57 | 34 |
| 1 0 2 | 27.52 | 29 |
| 1 1 1 | 31.81 | 82 |
| 1 0 3 | 33.65 | 79 |
| 1 1 2 | 35.20 | 100 |
| 2 0 0 | 43.83 | 71 |
| 2 1 3 | 56.37 | 36 |
| 3 1 2 | 74.93 | 32 |

***

Record 11
Theoretical X-ray diffraction stick pattern
Compound: CeB14Mo
Radiation: a wavelength of 1.5418 Å
Structure: a DFT-relaxed cell (GGA-PBE, Alexandria)
Intensities are scaled so that the largest is 100.

Atomic structure:
```
data_CeB14Mo
_chemical_formula_sum 'Ce4 B56 Mo4'
_cell_length_a 5.8781
_cell_length_b 10.9930
_cell_length_c 8.2203
_cell_angle_alpha 90.00
_cell_angle_beta 90.00
_cell_angle_gamma 90.00
_space_group_name_H-M_alt 'I m m a'
_space_group_IT_number 74
_space_group_name_Hall '-I 2b 2'
loop_
_atom_site_label
_atom_site_type_symbol
_atom_site_fract_x
_atom_site_fract_y
_atom_site_fract_z
_atom_site_occupancy
Ce1 Ce 0.0000 0.2500 0.1244 1
B1 B 0.0000 0.0793 0.6715 1
B2 B 0.0000 0.1194 0.8707 1
B3 B 0.0000 0.1676 0.4705 1
B4 B 0.1607 0.0641 0.3392 1
B5 B 0.2463 0.0759 0.5497 1
Mo1 Mo 0.2500 0.2500 0.7500 1
```

The 8 most intense peaks (2θ = 10–80°), sorted by position:
| h k l | 2θ (°) | Rel. int. |
| --- | --- | --- |
| 0 2 0 | 16.13 | 100 |
| 1 2 1 | 24.68 | 45 |
| 1 1 2 | 27.70 | 49 |
| 2 1 1 | 33.39 | 68 |
| 0 1 3 | 33.71 | 35 |
| 1 3 2 | 36.22 | 44 |
| 2 3 1 | 40.86 | 55 |
| 0 3 3 | 41.15 | 45 |

***

Record 12
Theoretical X-ray diffraction stick pattern
Compound: YHfCuTc
Radiation: a wavelength of 1.5418 Å
Structure: a DFT-relaxed cell (GGA-PBE, Alexandria)
Intensities are scaled so that the largest is 100.

Atomic structure:
```
data_YHfCuTc
_chemical_formula_sum 'Y4 Hf4 Cu4 Tc4'
_cell_length_a 6.6956
_cell_length_b 6.6956
_cell_length_c 6.6956
_cell_angle_alpha 90.00
_cell_angle_beta 90.00
_cell_angle_gamma 90.00
_space_group_name_H-M_alt 'F -4 3 m'
_space_group_IT_number 216
_space_group_name_Hall 'F -4 2 3'
loop_
_atom_site_label
_atom_site_type_symbol
_atom_site_fract_x
_atom_site_fract_y
_atom_site_fract_z
_atom_site_occupancy
Y1 Y 0.0000 0.0000 0.0000 1
Hf1 Hf 0.0000 0.0000 0.5000 1
Cu1 Cu 0.2500 0.2500 0.2500 1
Tc1 Tc 0.2500 0.2500 0.7500 1
```

The 8 most intense peaks (2θ = 10–80°), sorted by position:
| h k l | 2θ (°) | Rel. int. |
| --- | --- | --- |
| 1 1 1 | 23.01 | 10 |
| 2 0 0 | 26.63 | 6 |
| 2 2 0 | 38.01 | 100 |
| 3 1 1 | 44.90 | 6 |
| 4 0 0 | 54.85 | 17 |
| 3 3 1 | 60.25 | 2 |
| 4 2 0 | 61.98 | 3 |
| 4 2 2 | 68.67 | 34 |

***

Record 13
Theoretical X-ray diffraction stick pattern
Compound: Nd3Tl3In
Radiation: a wavelength of 1.5418 Å
Structure: a DFT-relaxed cell (GGA-PBE, Alexandria)
Intensities are scaled so that the largest is 100.

Atomic structure:
```
data_Nd3Tl3In
_chemical_formula_sum 'Nd12 Tl12 In4'
_cell_length_a 11.9616
_cell_length_b 4.7656
_cell_length_c 15.5922
_cell_angle_alpha 90.00
_cell_angle_beta 107.92
_cell_angle_gamma 90.00
_space_group_name_H-M_alt 'C 1 2/m 1'
_space_group_IT_number 12
_space_group_name_Hall '-C 2y'
loop_
_atom_site_label
_atom_site_type_symbol
_atom_site_fract_x
_atom_site_fract_y
_atom_site_fract_z
_atom_site_occupancy
Nd1 Nd 0.0199 0.0000 0.3780 1
Nd2 Nd 0.1044 0.0000 0.9251 1
Nd3 Nd 0.2290 0.0000 0.2201 1
Tl1 Tl 0.0016 0.5000 0.7748 1
Tl2 Tl 0.1194 0.5000 0.0749 1
Tl3 Tl 0.1405 0.5000 0.5358 1
In1 In 0.2327 0.5000 0.3689 1
```

The 8 most intense peaks (2θ = 10–80°), sorted by position:
| h k l | 2θ (°) | Rel. int. |
| --- | --- | --- |
| 1 1 3 | 28.73 | 54 |
| 1 1 -4 | 29.61 | 100 |
| 4 0 -2 | 29.98 | 46 |
| 3 1 -4 | 33.83 | 33 |
| 3 1 2 | 35.17 | 86 |
| 4 0 -5 | 36.39 | 31 |
| 0 2 0 | 37.75 | 54 |
| 4 2 -2 | 48.95 | 28 |